Starting from a cell relaxed with PBE, the powder X-ray diffraction pattern of ScHSe2Br was calculated for CuKα.
Peak positions follow from Bragg's law for the DFT cell and can differ from measured ones.

Main lines, in order of rising 2θ (10 to 90 degrees two-theta):
| Position (°2θ) | I (rel.) |
| --- | --- |
| 32.91 | 30.5 |
| 35.07 | 100.0 |
| 44.18 | 26.1 |
| 56.17 | 25.0 |
| 60.16 | 20.0 |
| 64.26 | 8.2 |
| 74.10 | 10.8 |
| 75.36 | 20.5 |

Structure:
```
ScHSe2Br
1.0
4.1001 0.0000 0.0000
0.0000 4.1001 0.0000
0.0000 0.0000 5.4434
Sc H Se Br
1 1 2 1
Direct
0.0000 0.0000 0.0000 Sc
0.5000 0.5000 0.5000 H
0.0000 0.5000 0.5000 Se
0.5000 0.0000 0.5000 Se
0.5000 0.5000 0.0000 Br
```

=====

Starting from a cell relaxed with PBE, the powder X-ray diffraction pattern of DyThRh2 was calculated for CuKα.
Peak positions follow from Bragg's law for the DFT cell and can differ from measured ones.

Main lines, in order of rising 2θ (10 to 90 degrees two-theta):
| Position (°2θ) | I (rel.) |
| --- | --- |
| 32.17 | 53.0 |
| 32.59 | 34.7 |
| 32.73 | 100.0 |
| 40.17 | 52.5 |
| 45.38 | 56.5 |
| 56.58 | 21.7 |
| 56.84 | 20.9 |
| 75.57 | 19.9 |

Structure:
```
DyThRh2
1.0
5.6617 0.0000 0.0000
0.0000 5.6434 0.0000
-2.9006 0.0000 11.1292
Dy Th Rh
4 4 8
Direct
0.1948 0.1261 0.1426 Dy
0.1948 0.8739 0.6426 Dy
0.8052 0.1261 0.3574 Dy
0.8052 0.8739 0.8574 Dy
0.3052 0.3708 0.8623 Th
0.3052 0.6292 0.3623 Th
0.6948 0.3708 0.6377 Th
0.6948 0.6292 0.1377 Th
0.1698 0.3739 0.5967 Rh
0.1698 0.6261 0.0967 Rh
0.3298 0.1284 0.4090 Rh
0.3298 0.8716 0.9090 Rh
0.6702 0.1284 0.0910 Rh
0.6702 0.8716 0.5910 Rh
0.8302 0.3739 0.9033 Rh
0.8302 0.6261 0.4033 Rh
```

=====

Starting from a cell relaxed with PBE, the powder X-ray diffraction pattern of Li2Cu2I5 was calculated for CuKα.
Peak positions follow from Bragg's law for the DFT cell and can differ from measured ones.

Main lines, in order of rising 2θ (10 to 90 degrees two-theta):
| Position (°2θ) | I (rel.) |
| --- | --- |
| 17.88 | 64.5 |
| 24.65 | 87.3 |
| 24.76 | 79.0 |
| 25.01 | 100.0 |
| 25.25 | 38.6 |
| 25.82 | 77.8 |
| 35.54 | 47.0 |
| 44.86 | 50.2 |

Structure:
```
Li2Cu2I5
1.0
4.2441 0.0000 0.0000
-0.2782 7.0553 0.0000
-1.1139 -3.4755 10.4809
Li Cu I
2 2 5
Direct
0.1327 0.2229 0.2748 Li
0.8673 0.7771 0.7252 Li
0.4301 0.3758 0.7093 Cu
0.5699 0.6242 0.2907 Cu
0.0899 0.8392 0.3009 I
0.4051 0.7247 0.8706 I
0.5000 0.5000 0.5000 I
0.5949 0.2753 0.1294 I
0.9101 0.1608 0.6991 I
```

=====

Starting from a cell relaxed with PBE, the powder X-ray diffraction pattern of Mg4SiS6 was calculated for CuKα.
Peak positions follow from Bragg's law for the DFT cell and can differ from measured ones.

Main lines, in order of rising 2θ (10 to 90 degrees two-theta):
| Position (°2θ) | I (rel.) |
| --- | --- |
| 25.70 | 46.6 |
| 26.47 | 24.6 |
| 29.71 | 29.4 |
| 30.13 | 80.4 |
| 31.24 | 35.2 |
| 31.39 | 100.0 |
| 45.04 | 28.8 |
| 45.20 | 28.7 |

Structure:
```
Mg4SiS6
1.0
6.0828 -3.4656 0.0000
6.0828 3.4656 0.0000
-4.3411 0.0000 11.4536
Mg Si S
8 2 12
Direct
0.0835 0.9165 0.5000 Mg
0.2402 0.4584 0.0045 Mg
0.4453 0.8224 0.8482 Mg
0.4584 0.2402 0.5045 Mg
0.7060 0.9357 0.1922 Mg
0.8224 0.4453 0.3482 Mg
0.9165 0.0835 0.0000 Mg
0.9357 0.7060 0.6922 Mg
0.2923 0.8478 0.2541 Si
0.8478 0.2923 0.7541 Si
0.0799 0.5680 0.5079 S
0.1066 0.1696 0.2063 S
0.1141 0.6541 0.1969 S
0.1696 0.1066 0.7063 S
0.1754 0.7275 0.8873 S
0.4116 0.8771 0.4382 S
0.5680 0.0799 0.0079 S
0.5888 0.6458 0.1779 S
0.6458 0.5888 0.6779 S
0.6541 0.1141 0.6969 S
0.7275 0.1754 0.3873 S
0.8771 0.4116 0.9382 S
```

=====

Starting from a cell relaxed with PBE, the powder X-ray diffraction pattern of Mn8In was calculated for CuKα.
Peak positions follow from Bragg's law for the DFT cell and can differ from measured ones.

Main lines, in order of rising 2θ (10 to 90 degrees two-theta):
| Position (°2θ) | I (rel.) |
| --- | --- |
| 27.27 | 6.9 |
| 32.87 | 8.7 |
| 43.21 | 100.0 |
| 50.22 | 29.1 |
| 50.54 | 16.4 |
| 73.76 | 7.2 |
| 74.02 | 16.6 |
| 89.52 | 16.3 |

Structure:
```
Mn8In
1.0
-3.8536 3.8536 1.8059
3.8536 -3.8536 1.8059
3.8536 3.8536 -1.8059
Mn In
8 1
Direct
0.0000 0.3489 0.3489 Mn
0.0000 0.6511 0.6511 Mn
0.3138 0.3138 0.6275 Mn
0.3138 0.6862 0.0000 Mn
0.3489 0.0000 0.3489 Mn
0.6511 0.0000 0.6511 Mn
0.6862 0.3138 0.0000 Mn
0.6862 0.6862 0.3725 Mn
0.0000 0.0000 0.0000 In
```

=====

Starting from a cell relaxed with PBE, the powder X-ray diffraction pattern of Mg6Sn3Rh was calculated for CuKα.
Peak positions follow from Bragg's law for the DFT cell and can differ from measured ones.

Main lines, in order of rising 2θ (10 to 90 degrees two-theta):
| Position (°2θ) | I (rel.) |
| --- | --- |
| 20.46 | 75.6 |
| 25.63 | 100.0 |
| 27.16 | 80.1 |
| 30.78 | 42.2 |
| 31.21 | 39.0 |
| 37.25 | 87.5 |
| 38.06 | 63.9 |
| 41.61 | 56.9 |

Structure:
```
Mg6Sn3Rh
1.0
6.1083 -2.9047 0.0000
6.1083 2.9047 0.0000
-5.5391 0.0000 6.7461
Mg Sn Rh
6 3 1
Direct
0.1618 0.6794 0.6726 Mg
0.2220 0.2220 0.8776 Mg
0.3206 0.8382 0.3274 Mg
0.6794 0.1618 0.6726 Mg
0.7780 0.7780 0.1224 Mg
0.8382 0.3206 0.3274 Mg
0.3197 0.3197 0.3051 Sn
0.5000 0.5000 0.0000 Sn
0.6803 0.6803 0.6949 Sn
0.0000 0.0000 0.5000 Rh
```